K2H2WO6: computed X-ray powder pattern (a wavelength of 1.5418 Å), based on DFT lattice parameters and positions (GGA+U).

Structural model:
Unit cell a=5.175 b=5.175 c=5.986 alpha=90.00 beta=90.00 gamma=120.00
Sites, in units of the cell vectors:
K  0.333  0.667  0.359
K  0.667  0.333  0.641
H  0.333  0.667  0.822
H  0.667  0.333  0.178
W  0.000  0.000  0.000
O  0.176  0.351  0.808
O  0.176  0.824  0.808
O  0.351  0.176  0.192
O  0.649  0.824  0.808
O  0.824  0.176  0.192
O  0.824  0.649  0.192

Main lines, low angle first (10 to 90 degrees two-theta):
| 2θ/deg | I/Imax |
| --- | --- |
| 14.80 | 34.6 |
| 19.81 | 41.2 |
| 24.82 | 100.0 |
| 34.67 | 25.6 |
| 36.09 | 35.5 |
| 43.10 | 26.7 |
| 46.39 | 14.6 |
| 50.91 | 15.9 |
| 56.45 | 22.0 |
| 58.40 | 15.4 |